Starting from a structure optimized by DFT (GGA-PBE), the XRD peak list of SrMg6Cu was calculated for Cu Kα (weighted mean of Kα1 and Kα2).

Unit cell a=4.986 b=7.272 c=7.272 alpha=49.65 beta=90.00 gamma=90.00
Element x y z (fractional)
1 Sr 0.000 0.000 0.000
2 Mg 0.000 0.497 0.982
3 Mg 0.000 0.982 0.497
4 Mg 0.500 0.134 0.619
5 Mg 0.500 0.167 0.167
6 Mg 0.500 0.599 0.599
7 Mg 0.500 0.619 0.134
8 Cu 0.000 0.405 0.405

Top 10 peaks for 5 to 70 degrees two-theta, sorted by position:
d [Å]  Rel. int.
6.600  27
4.986  22
3.978  17
3.570  18
2.903  50
2.771  25
2.752  30
2.493  34
2.422  100
1.738  18